For Li2Nd2TmIn2, the GGA-PBE geometry in Alexandria gives the simulated X-ray powder pattern in this record (λ = 1.5418 Å (Cu Kα)).

Peak list (6 most intense, 2θ from 15° to 90°, low angle first)
2θ/deg  I/Imax
21.33  94
31.50  92
34.11  97
36.92  100
51.14  31
64.55  32

Cell and atoms:
Lattice parameters (Å, degrees): 9.395 9.395 9.395 30.04 30.04 30.04
Atoms (fractional coordinates):
Li (0.112, 0.112, 0.112)
Li (0.888, 0.888, 0.888)
Nd (0.373, 0.373, 0.373)
Nd (0.627, 0.627, 0.627)
Tm (0.500, 0.500, 0.500)
In (0.233, 0.233, 0.233)
In (0.767, 0.767, 0.767)